Record 1
Diffraction record for CaTb4Nd3. The powder X-ray diffraction pattern is simulated, not measured: it uses a crystal structure in Alexandria, relaxed with GGA-PBE and Cu Kα (weighted mean of Kα1 and Kα2).
Lines closer than 0.1° are merged.

Structure:
```
data_CaTb4Nd3
_chemical_formula_sum 'Ca2 Tb8 Nd6'
_space_group_name_H-M_alt 'C 1 2/m 1'
_space_group_IT_number 12
_cell_length_a 26.437
_cell_length_b 5.778
_cell_length_c 3.641
_cell_angle_alpha 90.00
_cell_angle_beta 90.07
_cell_angle_gamma 90.00
loop_
_space_group_symop_operation_xyz
'x,y,z'
'-x,-y,-z'
'-x,y,-z'
'x,-y,z'
'x+1/2,y+1/2,z'
'-x+1/2,-y+1/2,-z'
'-x+1/2,y+1/2,-z'
'x+1/2,-y+1/2,z'
loop_
_atom_site_label
_atom_site_fract_x
_atom_site_fract_y
_atom_site_fract_z
Ca1 0.000 0.000 0.000
Tb1 0.105 0.000 0.500
Tb2 0.224 0.000 0.499
Nd1 0.000 0.500 0.500
Nd2 0.154 0.500 0.000
```

Main lines, low angle first (10 to 80 degrees two-theta):
two_theta	Rel. int.	h k l
28.23	52.3	7 1 0
29.19	16.1	1 1 1
30.75	100.0	3 1 1
30.95	55.0	0 2 0
31.89	24.8	6 0 -1
34.24	35.7	9 1 0
42.24	25.8	10 0 1
45.03	19.0	6 2 -1
53.28	19.5	10 2 1
54.93	19.4	3 3 1
60.07	16.6	0 2 2
60.52	16.2	15 1 -1

Record 2
Diffraction record for CaTb4Nd7. The powder X-ray diffraction pattern is simulated, not measured: it uses a crystal structure in Alexandria, relaxed with GGA-PBE and Cu Kα (weighted mean of Kα1 and Kα2).
Lines closer than 0.1° are merged.

Structure:
```
data_CaTb4Nd7
_chemical_formula_sum 'Ca1 Tb4 Nd7'
_space_group_name_H-M_alt 'P -1'
_space_group_IT_number 2
_cell_length_a 6.382
_cell_length_b 7.366
_cell_length_c 9.088
_cell_angle_alpha 89.80
_cell_angle_beta 76.50
_cell_angle_gamma 89.99
loop_
_space_group_symop_operation_xyz
'x,y,z'
'-x,-y,-z'
loop_
_atom_site_label
_atom_site_fract_x
_atom_site_fract_y
_atom_site_fract_z
Ca1 0.000 0.000 0.000
Tb1 0.220 0.500 0.332
Tb2 0.281 0.744 0.664
Nd1 0.000 0.500 0.000
Nd2 0.226 0.000 0.341
Nd3 0.284 0.255 0.662
Nd4 0.499 0.742 0.998
```

Main lines, low angle first (10 to 80 degrees two-theta):
two_theta	Rel. int.	h k l
28.17	32.8	1 -2 0
28.78	27.4	1 -2 1
30.35	53.2	0 0 3
31.11	100.0	2 0 2
32.73	64.0	2 0 -1
32.82	31.1	1 -2 2
49.49	40.6	3 -2 1
53.28	13.5	2 0 5
56.47	14.0	2 0 -4
59.10	15.8	-3 2 2
59.23	23.6	3 2 -2
60.59	10.5	-2 4 1

Record 3
Diffraction record for CaTb3Nd3. The powder X-ray diffraction pattern is simulated, not measured: it uses a crystal structure in Alexandria, relaxed with GGA-PBE and Cu Kα (weighted mean of Kα1 and Kα2).
Lines closer than 0.1° are merged.

Structure:
```
data_CaTb3Nd3
_chemical_formula_sum 'Ca2 Tb6 Nd6'
_space_group_name_H-M_alt 'P -1'
_space_group_IT_number 2
_cell_length_a 8.778
_cell_length_b 8.779
_cell_length_c 9.111
_cell_angle_alpha 90.02
_cell_angle_beta 118.78
_cell_angle_gamma 119.99
loop_
_space_group_symop_operation_xyz
'x,y,z'
'-x,-y,-z'
loop_
_atom_site_label
_atom_site_fract_x
_atom_site_fract_y
_atom_site_fract_z
Ca1 0.190 0.345 0.035
Tb1 0.152 0.719 0.823
Tb2 0.391 0.172 0.824
Tb3 0.394 0.067 0.176
Nd1 0.137 0.068 0.365
Nd2 0.204 0.432 0.635
Nd3 0.297 0.729 0.366
```

Main lines, low angle first (10 to 80 degrees two-theta):
two_theta	Rel. int.	h k l
12.28	36.0	1 0 -1
20.23	24.8	1 1 -1
23.46	21.3	0 0 2
28.25	19.8	2 0 0
29.94	27.8	1 0 -3
31.20	88.9	1 1 1
31.38	100.0	2 1 -2
32.13	61.4	1 2 -2
37.01	27.6	1 -3 2
48.04	19.0	0 0 4
51.70	17.0	4 -1 0
62.17	18.7	2 1 -6

Record 4
Diffraction record for CaTb6Nd3. The powder X-ray diffraction pattern is simulated, not measured: it uses a crystal structure in Alexandria, relaxed with GGA-PBE and Cu Kα (weighted mean of Kα1 and Kα2).
Lines closer than 0.1° are merged.

Structure:
```
data_CaTb6Nd3
_chemical_formula_sum 'Ca2 Tb12 Nd6'
_space_group_name_H-M_alt 'C 1 2/m 1'
_space_group_IT_number 12
_cell_length_a 11.717
_cell_length_b 6.687
_cell_length_c 9.624
_cell_angle_alpha 90.00
_cell_angle_beta 113.43
_cell_angle_gamma 90.00
loop_
_space_group_symop_operation_xyz
'x,y,z'
'-x,-y,-z'
'-x,y,-z'
'x,-y,z'
'x+1/2,y+1/2,z'
'-x+1/2,-y+1/2,-z'
'-x+1/2,y+1/2,-z'
'x+1/2,-y+1/2,z'
loop_
_atom_site_label
_atom_site_fract_x
_atom_site_fract_y
_atom_site_fract_z
Ca1 0.000 0.000 0.000
Tb1 0.140 0.500 0.924
Tb2 0.189 0.254 0.311
Nd1 0.000 0.500 0.500
Nd2 0.068 0.000 0.689
```

Main lines, low angle first (10 to 80 degrees two-theta):
two_theta	Rel. int.	h k l
28.08	39.0	1 1 2
28.20	28.3	2 0 -3
30.37	20.0	0 0 3
30.68	42.6	4 0 -1
30.98	100.0	2 2 -1
31.15	29.6	1 1 -3
31.33	17.7	4 0 -2
31.51	35.6	2 2 0
33.31	17.9	3 1 1
33.59	35.8	0 2 2
54.41	25.7	6 2 -2
58.06	15.0	2 2 4

Record 5
Diffraction record for CaTb8Nd3. The powder X-ray diffraction pattern is simulated, not measured: it uses a crystal structure in Alexandria, relaxed with GGA-PBE and Cu Kα (weighted mean of Kα1 and Kα2).
Lines closer than 0.1° are merged.

Structure:
```
data_CaTb8Nd3
_chemical_formula_sum 'Ca2 Tb16 Nd6'
_space_group_name_H-M_alt 'I -4 2 m'
_space_group_IT_number 121
_space_group_name_Hall 'I -4 2'
_cell_length_a 8.751
_cell_length_b 8.751
_cell_length_c 11.880
_cell_angle_alpha 90.00
_cell_angle_beta 90.00
_cell_angle_gamma 90.00
loop_
_atom_site_label
_atom_site_fract_x
_atom_site_fract_y
_atom_site_fract_z
Ca1 0.000 0.000 0.000
Tb1 0.136 0.136 0.726
Tb2 0.233 0.233 0.458
Nd1 0.000 0.000 0.500
Nd2 0.000 0.500 0.250
```

Main lines, low angle first (10 to 80 degrees two-theta):
two_theta	Rel. int.	h k l
12.56	41.2	1 0 1
23.94	68.8	2 1 1
25.28	48.7	2 0 2
28.86	68.8	2 2 0
30.09	44.3	0 0 4
32.16	48.2	2 1 3
33.47	44.8	1 1 4
35.80	100.0	3 1 2
37.83	25.7	3 2 1
42.18	31.1	2 2 4
44.11	34.5	4 0 2
57.21	50.8	3 1 6

Record 6
Diffraction record for CaTb2Nd6Y. The powder X-ray diffraction pattern is simulated, not measured: it uses a crystal structure in Alexandria, relaxed with GGA-PBE and Cu Kα (weighted mean of Kα1 and Kα2).
Lines closer than 0.1° are merged.

Structure:
```
data_CaTb2Nd6Y
_chemical_formula_sum 'Ca4 Tb8 Nd24 Y4'
_space_group_name_H-M_alt 'C 1 2/c 1'
_space_group_IT_number 15
_cell_length_a 9.213
_cell_length_b 15.599
_cell_length_c 9.913
_cell_angle_alpha 90.00
_cell_angle_beta 98.55
_cell_angle_gamma 90.00
loop_
_space_group_symop_operation_xyz
'x,y,z'
'-x,-y,-z'
'-x,y,-z+1/2'
'x,-y,z+1/2'
'x+1/2,y+1/2,z'
'-x+1/2,-y+1/2,-z'
'-x+1/2,y+1/2,-z+1/2'
'x+1/2,-y+1/2,z+1/2'
loop_
_atom_site_label
_atom_site_fract_x
_atom_site_fract_y
_atom_site_fract_z
Ca1 0.000 0.098 0.250
Tb1 0.249 0.449 0.042
Nd1 0.059 0.323 0.448
Nd2 0.108 0.105 0.623
Nd3 0.201 0.271 0.822
Y1 0.000 0.475 0.750
```

Main lines, low angle first (10 to 80 degrees two-theta):
two_theta	Rel. int.	h k l
14.51	26.6	0 2 1
27.83	61.1	1 3 2
29.64	56.6	0 2 3
30.03	100.0	3 1 -1
30.17	19.0	2 4 0
30.28	47.6	1 5 0
30.67	41.4	2 4 -1
30.92	92.3	2 2 2
31.22	54.0	1 5 -1
32.62	71.6	1 3 -3
33.32	19.3	2 2 -3
36.98	28.2	1 1 -4

Record 7
Diffraction record for Ca3NdTe4. The powder X-ray diffraction pattern is simulated, not measured: it uses a crystal structure in Alexandria, relaxed with GGA-PBE and Cu Kα (weighted mean of Kα1 and Kα2).
Lines closer than 0.1° are merged.

Structure:
```
data_Ca3NdTe4
_chemical_formula_sum 'Ca6 Nd2 Te8'
_space_group_name_H-M_alt 'C m m m'
_space_group_IT_number 65
_space_group_name_Hall '-C 2 2'
_cell_length_a 9.044
_cell_length_b 12.756
_cell_length_c 4.488
_cell_angle_alpha 90.00
_cell_angle_beta 90.00
_cell_angle_gamma 90.00
loop_
_atom_site_label
_atom_site_fract_x
_atom_site_fract_y
_atom_site_fract_z
Ca1 0.000 0.000 0.000
Ca2 0.250 0.250 0.500
Nd1 0.000 0.500 0.000
Te1 0.000 0.249 0.000
Te2 0.247 0.000 0.500
```

Main lines, low angle first (10 to 80 degrees two-theta):
two_theta	Rel. int.	h k l
24.13	8.0	2 2 0
24.25	7.9	0 2 1
28.00	100.0	2 0 1
39.87	12.7	4 0 0
40.01	50.3	2 4 1
40.19	12.4	0 0 2
49.41	13.5	4 4 0
49.68	13.3	0 4 2
57.87	12.5	4 0 2
65.48	22.7	4 4 2
72.50	12.5	6 4 1
72.91	8.2	2 4 3

Record 8
Diffraction record for CaNd2Te3. The powder X-ray diffraction pattern is simulated, not measured: it uses a crystal structure in Alexandria, relaxed with GGA-PBE and Cu Kα (weighted mean of Kα1 and Kα2).
Lines closer than 0.1° are merged.

Structure:
```
data_CaNd2Te3
_chemical_formula_sum 'Ca2 Nd4 Te6'
_space_group_name_H-M_alt 'I m m m'
_space_group_IT_number 71
_space_group_name_Hall '-I 2 2'
_cell_length_a 4.452
_cell_length_b 6.353
_cell_length_c 13.645
_cell_angle_alpha 90.00
_cell_angle_beta 90.00
_cell_angle_gamma 90.00
loop_
_atom_site_label
_atom_site_fract_x
_atom_site_fract_y
_atom_site_fract_z
Ca1 0.000 0.000 0.000
Nd1 0.000 0.000 0.332
Te1 0.000 0.500 0.000
Te2 0.000 0.500 0.338
```

Main lines, low angle first (10 to 80 degrees two-theta):
two_theta	Rel. int.	h k l
28.06	100.0	0 2 0
39.63	13.0	0 0 6
40.11	50.6	1 2 3
40.52	12.3	2 0 0
49.28	13.8	0 2 6
50.03	13.3	2 2 0
57.97	8.4	2 0 6
64.98	5.9	1 0 9
65.67	23.1	1 4 3
66.24	5.7	3 0 3
72.24	8.5	1 2 9
73.44	8.3	3 2 3